(1)
The following is a computed powder diffractogram of Pu3TiAg3Se8. It was derived from a DFT-relaxed cell (PBE, Alexandria), using Cu Kα, 1.54184 Å.
No peak broadening, texture or thermal motion is included.

Main lines, sorted by position (10 to 90 degrees two-theta):
d 6.458, rel. 17, hkl 0 0 3; d 5.740, rel. 15, hkl 0 1 2; d 3.504, rel. 9, hkl 0 2 1; d 3.344, rel. 11, hkl 2 0 2; d 2.870, rel. 100, hkl 0 2 4; d 2.057, rel. 38, hkl 2 2 0; d 2.003, rel. 35, hkl 2 0 8; d 1.672, rel. 19, hkl 4 0 4; d 1.435, rel. 11, hkl 0 4 8; d 1.298, rel. 16, hkl 2 4 4; d 1.270, rel. 16, hkl 2 2 12; d 1.177, rel. 11, hkl 4 2 8

Cell and atoms:
a = 8.2289 Å, b = 8.2289 Å, c = 19.3742 Å
α = 90.00°, β = 90.00°, γ = 120.00°
Space group R-3m (No. 166, hexagonal axes)
Unique sites:
Pu (0.0000, 0.5000, 0.0000) x9
Ti (0.0000, 0.0000, 0.0000) x3
Ag (0.0000, 0.5000, 0.5000) x9
Se (0.0000, 0.0000, 0.2500) x6
Se (0.0265, 0.5132, 0.7435) x18

---

(2)
The following is a computed powder diffractogram of SmPuZnAg. It was derived from a DFT-relaxed cell (PBE, Alexandria), using Cu Kα, 1.54184 Å.
No peak broadening, texture or thermal motion is included.

Main lines, sorted by position (10 to 90 degrees two-theta):
d 4.231, rel. 6, hkl 1 1 1; d 3.665, rel. 15, hkl 2 0 0; d 2.591, rel. 100, hkl 2 2 0; d 2.210, rel. 4, hkl 3 1 1; d 2.116, rel. 5, hkl 2 2 2; d 1.832, rel. 18, hkl 4 0 0; d 1.639, rel. 7, hkl 4 2 0; d 1.496, rel. 37, hkl 4 2 2; d 1.296, rel. 11, hkl 4 4 0; d 1.222, rel. 3, hkl 6 0 0; d 1.159, rel. 16, hkl 6 2 0; d 1.105, rel. 2, hkl 6 2 2

Cell and atoms:
a = 7.329 Å, b = 7.329 Å, c = 7.329 Å
α = 90.00°, β = 90.00°, γ = 90.00°
Space group F-43m (No. 216)
Unique sites:
Sm (0.000, 0.000, 0.000) x4
Pu (0.000, 0.000, 0.500) x4
Zn (0.250, 0.250, 0.250) x4
Ag (0.250, 0.250, 0.750) x4

---

(3)
The following is a computed powder diffractogram of Pu2AgSn8. It was derived from a DFT-relaxed cell (PBE, Alexandria), using Cu Kα, 1.54184 Å.
No peak broadening, texture or thermal motion is included.

Main lines, sorted by position (10 to 90 degrees two-theta):
d 4.469, rel. 17, hkl 0 2 2; d 3.508, rel. 29, hkl 0 1 3; d 2.716, rel. 22, hkl 1 1 -1; d 2.698, rel. 48, hkl 1 2 1; d 2.664, rel. 100, hkl 0 2 -2; d 2.651, rel. 63, hkl 0 2 4; d 2.545, rel. 62, hkl 0 4 2; d 2.309, rel. 21, hkl 1 3 1; d 2.230, rel. 21, hkl 1 0 3; d 2.205, rel. 21, hkl 1 0 -3; d 1.676, rel. 18, hkl 1 4 -1; d 1.579, rel. 17, hkl 2 0 0

Cell and atoms:
a = 3.159 Å, b = 10.179 Å, c = 10.621 Å
α = 61.59°, β = 89.09°, γ = 89.26°
Space group P-1 (No. 2)
Unique sites:
Pu (0.003, 0.317, 0.365) x2
Ag (0.000, 0.500, 0.000) x1
Sn (0.490, 0.805, 0.840) x2
Sn (0.492, 0.149, 0.703) x2
Sn (0.499, 0.356, 0.840) x2
Sn (0.500, 0.000, 0.500) x1
Sn (0.500, 0.500, 0.500) x1

---

(4)
The following is a computed powder diffractogram of PuAgTe3. It was derived from a DFT-relaxed cell (PBE, Alexandria), using Cu Kα, 1.54184 Å.
No peak broadening, texture or thermal motion is included.

Main lines, sorted by position (10 to 90 degrees two-theta):
d 4.081, rel. 27, hkl 0 1 2; d 3.384, rel. 100, hkl 1 0 2; d 2.995, rel. 20, hkl 0 2 1; d 2.974, rel. 32, hkl 1 1 2; d 2.771, rel. 39, hkl 1 0 3; d 2.699, rel. 26, hkl 0 2 2; d 2.466, rel. 89, hkl 1 2 1; d 2.356, rel. 36, hkl 0 2 3; d 2.171, rel. 33, hkl 2 0 0; d 2.040, rel. 26, hkl 0 1 5; d 1.597, rel. 22, hkl 2 2 3; d 1.416, rel. 19, hkl 1 4 2

Cell and atoms:
a = 4.343 Å, b = 6.235 Å, c = 10.794 Å
α = 90.00°, β = 90.00°, γ = 90.00°
Space group Pmmn (No. 59, origin choice 2)
Unique sites:
Pu (0.250, 0.250, 0.142) x2
Ag (0.250, 0.750, 0.454) x2
Te (0.250, 0.504, 0.685) x4
Te (0.250, 0.750, 0.063) x2

---

(5)
The following is a computed powder diffractogram of PuAg8Te6. It was derived from a DFT-relaxed cell (PBE, Alexandria), using Cu Kα, 1.54184 Å.
No peak broadening, texture or thermal motion is included.

Main lines, sorted by position (10 to 90 degrees two-theta):
d 5.816, rel. 43, hkl 0 1 2; d 3.477, rel. 56, hkl 1 1 3; d 3.256, rel. 16, hkl 2 0 2; d 2.897, rel. 42, hkl 1 0 7; d 2.708, rel. 100, hkl 1 1 6; d 2.555, rel. 39, hkl 2 1 1; d 2.507, rel. 48, hkl 3 -2 2; d 2.338, rel. 17, hkl 2 1 4; d 2.268, rel. 69, hkl 3 0 0; d 2.231, rel. 15, hkl 1 2 5; d 2.103, rel. 76, hkl 2 -1 9; d 1.900, rel. 18, hkl 4 -2 3

Cell and atoms:
a = 7.8583 Å, b = 7.8583 Å, c = 22.4064 Å
α = 90.00°, β = 90.00°, γ = 120.00°
Space group R-3 (No. 148, hexagonal axes)
Unique sites:
Pu (0.0000, 0.0000, 0.0000) x3
Ag (0.0000, 0.0000, 0.4335) x6
Ag (0.0270, 0.2591, 0.1385) x18
Te (0.0061, 0.6941, 0.7360) x18

---

(6)
The following is a computed powder diffractogram of PuAg2Te2. It was derived from a DFT-relaxed cell (PBE, Alexandria), using Cu Kα, 1.54184 Å.
No peak broadening, texture or thermal motion is included.

Main lines, sorted by position (10 to 90 degrees two-theta):
d 3.751, rel. 26, hkl 2 0 0; d 3.453, rel. 100, hkl 1 1 1; d 2.792, rel. 22, hkl 1 1 -2; d 2.771, rel. 65, hkl 2 0 -2; d 2.536, rel. 55, hkl 0 2 1; d 2.461, rel. 33, hkl 1 1 2; d 2.277, rel. 38, hkl 3 1 0; d 2.214, rel. 25, hkl 2 0 2; d 2.192, rel. 57, hkl 2 2 -1; d 2.045, rel. 28, hkl 1 1 -3; d 1.697, rel. 24, hkl 1 3 1; d 1.385, rel. 22, hkl 4 2 -3

Cell and atoms:
a = 7.696 Å, b = 5.515 Å, c = 6.620 Å
α = 90.00°, β = 102.90°, γ = 90.00°
Space group C2/m (No. 12)
Unique sites:
Pu (0.000, 0.000, 0.000) x2
Ag (0.000, 0.246, 0.500) x4
Te (0.185, 0.500, 0.229) x4

---

(7)
The following is a computed powder diffractogram of Pu2AgTe4. It was derived from a DFT-relaxed cell (PBE, Alexandria), using Cu Kα, 1.54184 Å.
No peak broadening, texture or thermal motion is included.

Main lines, sorted by position (10 to 90 degrees two-theta):
d 4.083, rel. 23, hkl 1 0 1; d 3.345, rel. 21, hkl 1 0 2; d 2.689, rel. 21, hkl 1 0 3; d 2.677, rel. 100, hkl 1 1 2; d 2.232, rel. 38, hkl 2 0 0; d 2.199, rel. 12, hkl 1 0 4; d 1.841, rel. 13, hkl 1 0 5; d 1.717, rel. 11, hkl 2 1 3; d 1.673, rel. 13, hkl 2 0 4; d 1.578, rel. 16, hkl 2 2 0; d 1.420, rel. 11, hkl 2 1 5; d 1.360, rel. 27, hkl 3 1 2

Cell and atoms:
a = 4.464 Å, b = 4.464 Å, c = 10.105 Å
α = 90.00°, β = 90.00°, γ = 90.00°
Space group P-4m2 (No. 115)
Unique sites:
Pu (0.000, 0.500, 0.232) x2
Ag (0.000, 0.000, 0.500) x1
Te (0.000, 0.000, 0.000) x1
Te (0.000, 0.500, 0.672) x2
Te (0.500, 0.500, 0.000) x1

---

(8)
The following is a computed powder diffractogram of PuAg2Te3. It was derived from a DFT-relaxed cell (PBE, Alexandria), using Cu Kα, 1.54184 Å.
No peak broadening, texture or thermal motion is included.

Main lines, sorted by position (10 to 90 degrees two-theta):
d 7.111, rel. 83, hkl 1 0 0; d 3.616, rel. 55, hkl 1 0 -3; d 3.527, rel. 100, hkl 1 1 1; d 3.078, rel. 46, hkl 1 1 2; d 2.812, rel. 35, hkl 2 0 -3; d 2.782, rel. 37, hkl 2 1 0; d 2.646, rel. 37, hkl 2 1 1; d 2.619, rel. 88, hkl 2 1 -2; d 2.416, rel. 43, hkl 2 0 -4; d 2.233, rel. 55, hkl 0 2 0; d 2.069, rel. 46, hkl 0 1 5; d 2.047, rel. 58, hkl 3 1 -2

Cell and atoms:
a = 7.172 Å, b = 4.466 Å, c = 11.769 Å
α = 90.00°, β = 97.44°, γ = 90.00°
Space group P2_1/m (No. 11)
Unique sites:
Pu (0.062, 0.250, 0.178) x2
Ag (0.016, 0.750, 0.417) x2
Ag (0.385, 0.750, 0.058) x2
Te (0.211, 0.750, 0.646) x2
Te (0.212, 0.250, 0.935) x2
Te (0.325, 0.750, 0.286) x2